This entry pairs a crystal structure of TaNb3Rh6 with its calculated XRD peak list. Radiation: Cu Kα (weighted mean of Kα1 and Kα2). Structure: a structure optimized by DFT (GGA-PBE).
Neutral-atom scattering factors, no anomalous dispersion.

Cell and atoms:
a = 4.8124 Å, b = 7.4561 Å, c = 9.7362 Å
α = 108.39°, β = 101.48°, γ = 100.70°
Space group P-1 (No. 2)
Asymmetric unit:
Ta 0.1817 0.0493 0.3894 (multiplicity 2)
Nb 0.0459 0.3618 0.8063 (multiplicity 2)
Nb 0.2805 0.7723 0.0045 (multiplicity 2)
Nb 0.3557 0.4709 0.6094 (multiplicity 2)
Rh 0.0585 0.3466 0.3020 (multiplicity 2)
Rh 0.1349 0.0564 0.8976 (multiplicity 2)
Rh 0.2328 0.7577 0.4984 (multiplicity 2)
Rh 0.3489 0.4469 0.0997 (multiplicity 2)
Rh 0.4243 0.1511 0.6934 (multiplicity 2)
Rh 0.4605 0.1512 0.2025 (multiplicity 2)

Main lines, low angle first (2θ from 10° to 90°):
2θ/deg, intensity, index
39.25, 1000, 1 1 2
39.51, 336, 0 2 -4
44.82, 229, 1 3 -2
45.27, 223, -1 1 4
47.03, 195, 2 -2 2
65.44, 71, 0 4 2
65.76, 66, 2 2 -6
67.24, 64, 1 -5 4
67.46, 66, 1 -1 6
79.45, 77, 0 2 6

***

This entry pairs a crystal structure of Ta5Nb6Rh with its calculated XRD peak list. Radiation: Cu Kα (weighted mean of Kα1 and Kα2). Structure: a structure optimized by DFT (GGA-PBE).
Neutral-atom scattering factors, no anomalous dispersion.

Cell and atoms:
a = 4.6552 Å, b = 6.6100 Å, c = 7.3400 Å
α = 90.00°, β = 108.35°, γ = 90.00°
Space group P2/m (No. 10)
Asymmetric unit:
Ta 0.0000 0.0000 0.0000 (multiplicity 1)
Ta 0.3324 0.5000 0.6650 (multiplicity 2)
Ta 0.3346 0.0000 0.6689 (multiplicity 2)
Nb 0.1657 0.2513 0.3315 (multiplicity 4)
Nb 0.5000 0.2506 0.0000 (multiplicity 2)
Rh 0.0000 0.5000 0.0000 (multiplicity 1)

Main lines, low angle first (2θ from 10° to 90°):
2θ/deg, intensity, index
27.12, 71, 1 0 1
38.64, 1000, 1 2 1
38.78, 198, 0 0 3
55.62, 69, 0 4 0
55.85, 68, 2 0 2
56.01, 68, 2 0 -4
69.83, 139, 0 4 3
69.97, 138, 3 2 0
70.10, 137, 1 2 4
82.91, 66, 4 0 -2

***

This entry pairs a crystal structure of TaNb6Rh5 with its calculated XRD peak list. Radiation: Cu Kα (weighted mean of Kα1 and Kα2). Structure: a structure optimized by DFT (GGA-PBE).
Neutral-atom scattering factors, no anomalous dispersion.

Cell and atoms:
a = 4.9388 Å, b = 5.6850 Å, c = 7.0461 Å
α = 90.00°, β = 90.22°, γ = 90.00°
Space group P2/m (No. 10)
Asymmetric unit:
Ta 0.0000 0.0000 0.0000 (multiplicity 1)
Nb 0.1894 0.2512 0.6531 (multiplicity 4)
Nb 0.5000 0.2553 0.0000 (multiplicity 2)
Rh 0.0000 0.5000 0.0000 (multiplicity 1)
Rh 0.3171 0.0000 0.3278 (multiplicity 2)
Rh 0.3208 0.5000 0.3283 (multiplicity 2)

Main lines, low angle first (2θ from 10° to 90°):
2θ/deg, intensity, index
38.32, 511, 0 0 3
38.68, 517, 2 0 1
38.70, 1000, 1 2 -1
44.74, 313, 2 0 -2
44.94, 664, 1 2 2
65.03, 200, 1 2 -4
65.53, 194, 3 2 0
78.67, 289, 0 4 3
78.92, 124, 2 4 1
82.99, 149, 2 4 -2

***

This entry pairs a crystal structure of NbTcRh with its calculated XRD peak list. Radiation: Cu Kα (weighted mean of Kα1 and Kα2). Structure: a structure optimized by DFT (GGA-PBE).
Neutral-atom scattering factors, no anomalous dispersion.

Cell and atoms:
a = 13.7289 Å, b = 2.8027 Å, c = 4.8796 Å
α = 90.00°, β = 90.00°, γ = 90.00°
Space group Amm2 (No. 38)
Asymmetric unit:
Nb 0.1751 0.0000 0.0000 (multiplicity 4)
Tc 0.0000 0.0000 0.2582 (multiplicity 2)
Tc 0.5000 0.0000 0.9979 (multiplicity 2)
Rh 0.3437 0.0000 0.3320 (multiplicity 4)

Main lines, low angle first (2θ from 10° to 90°):
2θ/deg, intensity, index
36.99, 346, 0 1 1
39.38, 434, 6 0 0
41.96, 597, 3 0 2
42.10, 1000, 3 1 1
55.13, 198, 6 1 1
66.46, 148, 0 1 3
73.23, 248, 9 0 2
80.08, 156, 6 1 3
80.35, 102, 6 2 0
82.05, 162, 3 2 2